(1)
# Pm4AlTl3
Calculated X-ray diffraction stick pattern, Cu Kα X-rays. Input: the PBE geometry in Alexandria.
Peak positions follow from Bragg's law for the DFT cell and can differ from measured ones.

Structural model:
Cell lengths 3.816, 3.816, 15.553 Å; angles 90.00, 90.00, 90.00 degrees
Space group P4/mmm (No. 123)
One atom of each set of equivalent atoms:
Pm1 0.000 0.000 0.115 [2 per cell]
Pm2 0.000 0.000 0.371 [2 per cell]
Al1 0.500 0.500 0.000 [1 per cell]
Tl1 0.500 0.500 0.243 [2 per cell]
Tl2 0.500 0.500 0.500 [1 per cell]

Most intense lines, 15 to 90 degrees two-theta, in order of rising 2θ:
d 2.724, I = 100.0, (1 0 4)
d 2.699, I = 50.1, (1 1 0)
d 1.944, I = 8.7, (0 0 8)
d 1.908, I = 18.4, (2 0 0)
d 1.577, I = 18.0, (1 1 8)
d 1.563, I = 37.8, (2 1 4)
d 1.362, I = 11.0, (2 0 8)
d 1.207, I = 8.3, (3 1 0)


(2)
# Nb8PtSe20
Calculated X-ray diffraction stick pattern, Cu Kα X-rays. Input: the PBE geometry in Alexandria.
Peak positions follow from Bragg's law for the DFT cell and can differ from measured ones.

Structural model:
Cell lengths 21.265, 3.470, 19.672 Å; angles 90.00, 103.10, 90.00 degrees
Space group C2/m (No. 12)
One atom of each set of equivalent atoms:
Nb1 0.079 0.000 0.410 [4 per cell]
Nb2 0.157 0.000 0.949 [4 per cell]
Nb3 0.171 0.500 0.312 [4 per cell]
Nb4 0.233 0.500 0.782 [4 per cell]
Pt1 0.000 0.500 0.500 [2 per cell]
Se1 0.015 0.500 0.628 [4 per cell]
Se2 0.062 0.500 0.901 [4 per cell]
Se3 0.076 0.000 0.276 [4 per cell]
Se4 0.104 0.500 0.024 [4 per cell]
Se5 0.118 0.500 0.511 [4 per cell]
Se6 0.147 0.000 0.809 [4 per cell]
Se7 0.172 0.500 0.179 [4 per cell]
Se8 0.203 0.000 0.413 [4 per cell]
Se9 0.205 0.000 0.679 [4 per cell]
Se10 0.246 0.500 0.929 [4 per cell]

Most intense lines, 15 to 90 degrees two-theta, in order of rising 2θ:
d 3.042, I = 53.9, (3 1 -2)
d 2.688, I = 100.0, (5 1 -1)
d 2.664, I = 56.2, (6 0 -6)
d 2.459, I = 73.2, (2 0 -8)
d 2.193, I = 89.3, (7 1 1)
d 2.111, I = 41.9, (10 0 -1)
d 2.100, I = 70.8, (1 1 7)
d 1.735, I = 50.7, (0 2 0)